The following is a calculated XRD peak list of TlCdC2O6. It was derived from DFT lattice parameters and positions (GGA-PBE), using copper Kα.

Peak list (10 most intense, 15° ≤ 2θ ≤ 90°, by angle)
hkl 2 0 0, 21.9°, I 30; hkl 0 2 1, 22.6°, I 55; hkl 0 0 2, 28.5°, I 100; hkl 2 2 1, 34.6°, I 24; hkl 0 4 0, 35.5°, I 13; hkl 2 4 0, 42.1°, I 16; hkl 2 2 -3, 46.2°, I 28; hkl 4 2 -1, 46.4°, I 14; hkl 0 2 3, 47.1°, I 14; hkl 2 4 -2, 47.5°, I 12

Structure:
a = 8.487 Å, b = 10.115 Å, c = 6.559 Å
α = 90.00°, β = 107.25°, γ = 90.00°
Space group C2/c (No. 15)
Unique sites:
Tl: 0.000 0.124 0.250 x4
Cd: 0.000 0.400 0.750 x4
C: 0.245 0.142 0.758 x8
O: 0.123 0.416 0.124 x8
O: 0.129 0.071 0.631 x8
O: 0.229 0.269 0.763 x8